# Pr4SiP2
Calculated X-ray powder pattern, Cu Kα (λ = 1.5418 Å). Input: a cell relaxed with PBE.
Neutral-atom scattering factors, no anomalous dispersion.

Cell and atoms:
```
data_Pr4SiP2
_space_group_name_H-M_alt 'C m c m'
_space_group_IT_number 63
_space_group_name_Hall '-C 2c 2'
_cell_length_a 4.2107
_cell_length_b 13.6607
_cell_length_c 13.8817
_cell_angle_alpha 90.00
_cell_angle_beta 90.00
_cell_angle_gamma 90.00
loop_
_atom_site_label
_atom_site_type_symbol
_atom_site_fract_x
_atom_site_fract_y
_atom_site_fract_z
Pr1 Pr 0.0000 0.0000 0.0000
Pr2 Pr 0.0000 0.2738 0.1218
Pr3 Pr 0.0000 0.4534 0.7500
Si1 Si 0.0000 0.1065 0.7500
P1 P 0.0000 0.3623 0.5625
```

Largest 10 diffraction maxima, low angle first, 2θ = 10–80°:
| two_theta | intensity | (hkl) |
| --- | --- | --- |
| 25.6 | 40.5 | 1 1 2 |
| 26.1 | 22.8 | 0 4 0 |
| 28.9 | 100.0 | 0 2 4 |
| 29.4 | 28.7 | 1 1 3 |
| 29.6 | 59.1 | 1 3 1 |
| 31.7 | 38.6 | 1 3 2 |
| 43.0 | 21.7 | 2 0 0 |
| 44.1 | 21.9 | 1 5 3 |
| 52.6 | 32.3 | 2 2 4 |
| 71.4 | 21.1 | 1 9 4 |